1.
The following is a simulated XRD peak list of Cs2RbGeO4. It was derived from a DFT-relaxed cell (PBE, Alexandria), using CuKα.
No peak broadening, texture or thermal motion is included.

Crystal structure
Cell: 6.5467 12.5208 26.3649 Å, 90.00 90.00 90.00°
Space group Fddd (No. 70, origin choice 2)
Unique sites:
Cs1 0.1250 0.1250 0.3217
Rb1 0.1250 0.1250 0.1250
Ge1 0.1250 0.1250 0.6250
O1 0.0282 0.2806 0.8410

Main lines, most intense first (5° ≤ 2θ ≤ 70°):
- d = 6.591 Å, intensity 100
- d = 2.901 Å, intensity 64
- d = 4.842 Å, intensity 63
- d = 3.597 Å, intensity 52
- d = 3.902 Å, intensity 40
- d = 2.927 Å, intensity 40
- d = 2.430 Å, intensity 37
- d = 3.130 Å, intensity 32

=====

2.
The following is a simulated XRD peak list of BaScTl2I6. It was derived from a DFT-relaxed cell (PBE, Alexandria), using CuKα.
No peak broadening, texture or thermal motion is included.

Crystal structure
Cell: 8.5553 8.5553 22.2171 Å, 90.00 90.00 120.00°
Space group R3 (No. 146, hexagonal axes)
Unique sites:
Ba1 0.0000 0.0000 0.0000
Sc1 0.0000 0.0000 0.4975
Tl1 0.0000 0.0000 0.2964
Tl2 0.0000 0.0000 0.8006
I1 0.0178 0.4001 0.2373
I2 0.0722 0.7007 0.0818

Main lines, most intense first (5° ≤ 2θ ≤ 70°):
- d = 3.704 Å, intensity 100
- d = 2.800 Å, intensity 78
- d = 2.470 Å, intensity 51
- d = 3.082 Å, intensity 43
- d = 4.444 Å, intensity 36
- d = 6.164 Å, intensity 33
- d = 3.514 Å, intensity 30
- d = 2.501 Å, intensity 30

=====

Copy entry 1 word for word.
The following is a simulated XRD peak list of Cs2RbGeO4. It was derived from a DFT-relaxed cell (PBE, Alexandria), using CuKα.
No peak broadening, texture or thermal motion is included.

Crystal structure
Cell: 6.5467 12.5208 26.3649 Å, 90.00 90.00 90.00°
Space group Fddd (No. 70, origin choice 2)
Unique sites:
Cs1 0.1250 0.1250 0.3217
Rb1 0.1250 0.1250 0.1250
Ge1 0.1250 0.1250 0.6250
O1 0.0282 0.2806 0.8410

Main lines, most intense first (5° ≤ 2θ ≤ 70°):
- d = 6.591 Å, intensity 100
- d = 2.901 Å, intensity 64
- d = 4.842 Å, intensity 63
- d = 3.597 Å, intensity 52
- d = 3.902 Å, intensity 40
- d = 2.927 Å, intensity 40
- d = 2.430 Å, intensity 37
- d = 3.130 Å, intensity 32